(1)
This entry pairs a crystal structure of SnTe6Au with its computed powder XRD pattern. Radiation: CuKα. Structure: a DFT-relaxed cell (GGA-PBE, Alexandria).
Lines closer than 0.1° are merged.

Principal peaks in the range 5° ≤ 2θ ≤ 70°, in order of falling intensity:
2theta, intensity, hkl
27.67, 100, 1 0 2
30.18, 79, 2 1 0
29.81, 48, 0 2 1
28.03, 44, 0 0 2
44.03, 35, 2 3 1
29.47, 35, 0 2 0
35.86, 32, 1 -1 2
39.69, 31, 1 1 -2
39.95, 27, 1 -2 1
42.24, 26, 1 2 3

Structure:
Unit cell a=6.561 b=6.581 c=7.005 alpha=71.97 beta=68.52 gamma=70.54
Space group P-1 (No. 2)
Unique sites:
Sn 0.000 0.000 0.000 [1 per cell]
Te 0.056 0.476 0.688 [2 per cell]
Te 0.303 0.938 0.525 [2 per cell]
Te 0.484 0.686 0.066 [2 per cell]
Au 0.500 0.500 0.500 [1 per cell]

***

(2)
This entry pairs a crystal structure of Sn2Te4Au with its computed powder XRD pattern. Radiation: CuKα. Structure: a DFT-relaxed cell (GGA-PBE, Alexandria).
Lines closer than 0.1° are merged.

Principal peaks in the range 5° ≤ 2θ ≤ 70°, in order of falling intensity:
2theta, intensity, hkl
32.92, 100, 0 1 4
5.41, 91, 0 0 1
25.01, 82, 0 1 1
42.93, 78, 1 1 0
46.18, 72, 1 0 7
26.76, 49, 0 1 2
16.28, 47, 0 0 3
24.40, 34, 1 0 0
36.93, 34, 1 0 5
29.47, 31, 0 1 3

Structure:
Unit cell a=4.2132 b=4.2132 c=16.3379 alpha=90.00 beta=90.00 gamma=120.00
Space group P3m1 (No. 156)
Unique sites:
Sn 0.0000 0.0000 0.0000 [1 per cell]
Sn 0.3333 0.6667 0.3510 [1 per cell]
Te 0.0000 0.0000 0.2448 [1 per cell]
Te 0.0000 0.0000 0.7009 [1 per cell]
Te 0.6667 0.3333 0.4619 [1 per cell]
Te 0.6667 0.3333 0.8969 [1 per cell]
Au 0.6667 0.3333 0.6275 [1 per cell]

***

(3)
This entry pairs a crystal structure of SnTeAu with its computed powder XRD pattern. Radiation: CuKα. Structure: a DFT-relaxed cell (GGA-PBE, Alexandria).
Lines closer than 0.1° are merged.

Principal peaks in the range 5° ≤ 2θ ≤ 70°, in order of falling intensity:
2theta, intensity, hkl
40.53, 100, 1 2 1
25.84, 87, 1 1 0
28.98, 61, 1 1 1
20.53, 57, 0 1 1
30.60, 50, 0 1 2
44.69, 46, 1 0 3
36.97, 41, 1 1 2
41.15, 39, 2 0 0
25.98, 23, 0 0 2
52.14, 23, 2 1 2

Structure:
Unit cell a=4.387 b=5.576 c=6.860 alpha=90.00 beta=90.00 gamma=90.00
Space group Pmn2_1 (No. 31)
Unique sites:
Sn 0.000 0.034 0.000 [2 per cell]
Te 0.000 0.460 0.743 [2 per cell]
Au 0.000 0.237 0.370 [2 per cell]

***

(4)
This entry pairs a crystal structure of Sn2Te3Au with its computed powder XRD pattern. Radiation: CuKα. Structure: a DFT-relaxed cell (GGA-PBE, Alexandria).
Lines closer than 0.1° are merged.

Principal peaks in the range 5° ≤ 2θ ≤ 70°, in order of falling intensity:
2theta, intensity, hkl
21.75, 100, 3 1 0
33.21, 91, 3 3 0
29.19, 82, 0 0 2
44.79, 80, 3 3 2
36.69, 53, 3 1 2
17.46, 39, 0 2 0
50.62, 35, 6 0 2
40.41, 33, 6 0 0
35.34, 19, 0 4 0
36.40, 18, 3 3 1

Structure:
Unit cell a=13.392 b=10.157 c=6.119 alpha=90.00 beta=90.00 gamma=90.00
Space group Cmcm (No. 63)
Unique sites:
Sn 0.162 0.185 0.250 [8 per cell]
Te 0.000 0.390 0.250 [4 per cell]
Te 0.159 0.148 0.750 [8 per cell]
Au 0.000 0.338 0.750 [4 per cell]